Record 1
Starting from a crystal structure in Alexandria, relaxed with PBE, the XRD peak list of AcTb3Y was calculated for copper Kα.
Kinematic intensities with the Lorentz-polarization factor, no thermal factor.

Structure:
Lattice parameters (Å, degrees): 18.323 4.947 8.632 90.00 112.07 90.00
Space group C2/m (No. 12)
Inequivalent atoms, fractional coordinates:
Ac1 0.115 0.000 0.149 [4 per cell]
Tb1 0.057 0.000 0.697 [4 per cell]
Tb2 0.084 0.500 0.445 [4 per cell]
Tb3 0.227 0.000 0.627 [4 per cell]
Y1 0.188 0.500 0.889 [4 per cell]

Top 10 peaks for 2θ = 10–90°, by intensity:
Position (°2θ)  I (rel.)  index
30.38  100  5 1 -1
30.70  100  1 1 2
32.25  41  4 0 -3
36.32  36  0 2 0
49.35  25  4 2 -3
37.48  24  6 0 1
56.74  18  3 1 -5
53.18  18  6 2 1
18.68  16  1 1 0
61.89  15  1 3 2

Record 2
Starting from a crystal structure in Alexandria, relaxed with PBE, the XRD peak list of NaLi3Br4 was calculated for copper Kα.
Kinematic intensities with the Lorentz-polarization factor, no thermal factor.

Structure:
Lattice parameters (Å, degrees): 5.670 5.670 5.670 90.00 90.00 90.00
Space group Pm-3m (No. 221)
Inequivalent atoms, fractional coordinates:
Na1 0.000 0.000 0.000 [1 per cell]
Li1 0.000 0.500 0.500 [3 per cell]
Br1 0.000 0.000 0.500 [3 per cell]
Br2 0.500 0.500 0.500 [1 per cell]

Top 10 peaks for 2θ = 10–90°, by intensity:
Position (°2θ)  I (rel.)  index
27.24  100  1 1 1
31.56  83  2 0 0
45.23  59  2 2 0
53.61  44  3 1 1
74.90  26  4 2 0
56.20  20  2 2 2
83.53  20  4 2 2
72.69  18  3 3 1
89.90  15  5 1 1
65.89  9  4 0 0

Record 3
Starting from a crystal structure in Alexandria, relaxed with PBE, the XRD peak list of ScZnCoCu was calculated for copper Kα.
Kinematic intensities with the Lorentz-polarization factor, no thermal factor.

Structure:
Lattice parameters (Å, degrees): 6.099 6.099 6.099 90.00 90.00 90.00
Space group F-43m (No. 216)
Inequivalent atoms, fractional coordinates:
Sc1 0.000 0.000 0.000 [4 per cell]
Zn1 0.000 0.000 0.500 [4 per cell]
Co1 0.250 0.250 0.750 [4 per cell]
Cu1 0.250 0.250 0.250 [4 per cell]

Top 8 peaks for 2θ = 10–90°, by intensity:
Position (°2θ)  I (rel.)  index
41.90  100  2 2 0
76.53  29  4 2 2
60.75  15  4 0 0
25.29  3  1 1 1
49.57  2  3 1 1
66.87  1  3 3 1
29.29  1  2 0 0
82.12  1  5 1 1

Record 4
Starting from a crystal structure in Alexandria, relaxed with PBE, the XRD peak list of Np3SbC was calculated for copper Kα.
Kinematic intensities with the Lorentz-polarization factor, no thermal factor.

Structure:
Lattice parameters (Å, degrees): 4.768 4.768 4.768 90.00 90.00 90.00
Space group Pm-3m (No. 221)
Inequivalent atoms, fractional coordinates:
Np1 0.000 0.000 0.500 [3 per cell]
Sb1 0.500 0.500 0.500 [1 per cell]
C1 0.000 0.000 0.000 [1 per cell]

Top 10 peaks for 2θ = 10–90°, by intensity:
Position (°2θ)  I (rel.)  index
32.52  100  1 1 1
37.73  53  2 0 0
64.85  43  3 1 1
54.43  38  2 2 0
89.62  19  3 3 1
68.12  13  2 2 2
18.61  6  1 0 0
80.59  6  4 0 0
26.44  4  1 1 0
42.39  3  2 1 0

Record 5
Starting from a crystal structure in Alexandria, relaxed with PBE, the XRD peak list of Er5NbRu6 was calculated for copper Kα.
Kinematic intensities with the Lorentz-polarization factor, no thermal factor.

Structure:
Lattice parameters (Å, degrees): 4.725 6.700 14.073 90.00 90.00 90.00
Space group Immm (No. 71)
Inequivalent atoms, fractional coordinates:
Er1 0.000 0.000 0.000 [2 per cell]
Er2 0.000 0.000 0.332 [4 per cell]
Er3 0.000 0.500 0.335 [4 per cell]
Nb1 0.000 0.500 0.000 [2 per cell]
Ru1 0.000 0.231 0.500 [4 per cell]
Ru2 0.000 0.261 0.158 [8 per cell]

Top 10 peaks for 2θ = 10–90°, by intensity:
Position (°2θ)  I (rel.)  index
38.11  100  2 0 0
68.86  20  3 2 3
38.38  19  0 0 6
55.18  13  2 0 6
69.23  13  1 2 9
81.52  10  4 0 0
68.69  7  2 4 0
54.80  7  0 4 0
26.78  4  1 0 3
26.61  2  0 2 0

Record 6
Starting from a crystal structure in Alexandria, relaxed with PBE, the XRD peak list of Cs2Na2PmO4 was calculated for copper Kα.
Kinematic intensities with the Lorentz-polarization factor, no thermal factor.

Structure:
Lattice parameters (Å, degrees): 14.163 3.852 7.065 90.00 110.57 90.00
Space group C2/m (No. 12)
Inequivalent atoms, fractional coordinates:
Cs1 0.137 0.000 0.039 [4 per cell]
Na1 0.177 0.500 0.476 [4 per cell]
Pm1 0.000 0.000 0.500 [2 per cell]
O1 0.009 0.500 0.294 [4 per cell]
O2 0.180 0.000 0.641 [4 per cell]

Top 10 peaks for 2θ = 10–90°, by intensity:
Position (°2θ)  I (rel.)  index
25.49  100  4 0 -1
34.56  99  1 1 -2
24.06  98  1 1 0
30.63  84  3 1 -1
26.95  77  0 0 2
36.55  76  3 1 1
34.25  41  4 0 1
52.15  34  7 1 -2
22.07  33  2 0 1
58.07  28  3 1 3

Record 7
Starting from a crystal structure in Alexandria, relaxed with PBE, the XRD peak list of Pm3NdY4 was calculated for copper Kα.
Kinematic intensities with the Lorentz-polarization factor, no thermal factor.

Structure:
Lattice parameters (Å, degrees): 6.267 3.624 11.909 90.00 100.21 90.00
Space group P2/m (No. 10)
Inequivalent atoms, fractional coordinates:
Pm1 0.000 0.000 0.000 [1 per cell]
Pm2 0.000 0.500 0.500 [1 per cell]
Pm3 0.500 0.000 0.500 [1 per cell]
Nd1 0.500 0.500 0.000 [1 per cell]
Y1 0.249 0.000 0.750 [2 per cell]
Y2 0.250 0.500 0.250 [2 per cell]

Top 10 peaks for 2θ = 10–90°, by intensity:
Position (°2θ)  I (rel.)  index
30.26  100  1 1 1
35.15  67  2 0 2
30.51  33  0 0 4
50.40  24  0 2 0
50.73  23  1 1 5
60.02  23  4 0 0
62.93  12  2 2 2
59.88  9  2 2 -2
60.14  9  3 1 3
60.32  9  1 1 -7

Record 8
Starting from a crystal structure in Alexandria, relaxed with PBE, the XRD peak list of Cs2HgTeSe was calculated for copper Kα.
Kinematic intensities with the Lorentz-polarization factor, no thermal factor.

Structure:
Lattice parameters (Å, degrees): 8.899 4.788 11.761 90.00 108.89 90.00
Space group P2_1/m (No. 11)
Inequivalent atoms, fractional coordinates:
Cs1 0.184 0.250 0.398 [2 per cell]
Cs2 0.219 0.250 0.962 [2 per cell]
Hg1 0.499 0.250 0.742 [2 per cell]
Te1 0.308 0.750 0.699 [2 per cell]
Se1 0.196 0.750 0.181 [2 per cell]

Top 10 peaks for 2θ = 10–90°, by intensity:
Position (°2θ)  I (rel.)  index
24.56  100  1 1 -2
30.42  56  1 0 -4
15.97  49  1 0 -2
21.97  34  2 0 -2
37.57  32  0 2 0
10.51  27  1 0 0
21.81  27  1 0 2
31.24  26  2 1 1
23.99  26  0 0 3
49.07  25  1 2 -4

Record 9
Starting from a crystal structure in Alexandria, relaxed with PBE, the XRD peak list of Tm2Si2BOs2 was calculated for copper Kα.
Kinematic intensities with the Lorentz-polarization factor, no thermal factor.

Structure:
Lattice parameters (Å, degrees): 10.715 4.124 6.821 90.00 127.96 90.00
Space group C2/m (No. 12)
Inequivalent atoms, fractional coordinates:
Tm1 0.067 0.000 0.333 [4 per cell]
Si1 0.149 0.500 0.100 [4 per cell]
B1 0.000 0.500 0.500 [2 per cell]
Os1 0.215 0.500 0.817 [4 per cell]

Top 10 peaks for 2θ = 10–90°, by intensity:
Position (°2θ)  I (rel.)  index
32.84  100  1 1 1
36.01  100  3 1 -2
34.80  39  4 0 -1
43.90  34  0 2 0
40.84  29  2 0 -3
38.72  23  3 1 0
25.24  23  1 1 -1
33.32  21  0 0 2
57.20  19  4 2 -1
24.01  18  1 1 0

Record 10
Starting from a crystal structure in Alexandria, relaxed with PBE, the XRD peak list of Cs2KVSe4 was calculated for copper Kα.
Kinematic intensities with the Lorentz-polarization factor, no thermal factor.

Structure:
Lattice parameters (Å, degrees): 7.422 13.953 26.893 90.00 90.00 90.00
Space group Fddd (No. 70, origin choice 2)
Inequivalent atoms, fractional coordinates:
Cs1 0.125 0.125 0.311 [16 per cell]
K1 0.125 0.125 0.125 [8 per cell]
V1 0.125 0.125 0.625 [8 per cell]
Se1 0.047 0.277 0.825 [32 per cell]

Top 10 peaks for 2θ = 10–90°, by intensity:
Position (°2θ)  I (rel.)  index
28.06  100  1 3 5
24.68  97  1 3 3
16.76  44  1 1 3
26.52  37  0 0 8
23.59  35  0 2 6
13.17  34  0 0 4
27.22  32  2 2 0
31.29  31  2 0 6
22.81  27  1 3 1
39.33  26  0 6 2

Record 11
Starting from a crystal structure in Alexandria, relaxed with PBE, the XRD peak list of CeZnSnGe was calculated for copper Kα.
Kinematic intensities with the Lorentz-polarization factor, no thermal factor.

Structure:
Lattice parameters (Å, degrees): 4.284 4.346 4.724 90.00 90.00 90.00
Space group Pmmm (No. 47)
Inequivalent atoms, fractional coordinates:
Ce1 0.000 0.000 0.000 [1 per cell]
Zn1 0.500 0.000 0.500 [1 per cell]
Sn1 0.000 0.500 0.500 [1 per cell]
Ge1 0.500 0.500 0.000 [1 per cell]

Top 10 peaks for 2θ = 10–90°, by intensity:
Position (°2θ)  I (rel.)  index
35.01  100  1 1 1
38.10  20  0 0 2
41.56  16  0 2 0
66.87  15  1 1 3
42.19  15  2 0 0
71.60  12  1 3 1
72.48  12  3 1 1
57.64  12  0 2 2
58.14  12  2 0 2
73.97  11  2 2 2

Record 12
Starting from a crystal structure in Alexandria, relaxed with PBE, the XRD peak list of Ni3Pt4 was calculated for copper Kα.
Kinematic intensities with the Lorentz-polarization factor, no thermal factor.

Structure:
Lattice parameters (Å, degrees): 7.1395 7.1395 6.5997 90.00 90.00 120.00
Space group R3 (No. 146, hexagonal axes)
Inequivalent atoms, fractional coordinates:
Ni1 0.1430 0.4302 0.0000 [9 per cell]
Pt1 0.0000 0.0000 0.0144 [3 per cell]
Pt2 0.0482 0.8090 0.6614 [9 per cell]

Top 10 peaks for 2θ = 10–90°, by intensity:
Position (°2θ)  I (rel.)  index
40.98  100  3 -1 1
47.69  48  1 2 2
69.73  31  4 1 0
84.16  28  2 4 1
19.68  12  1 0 1
24.94  9  1 1 0
84.26  9  1 2 5
88.84  9  6 -2 2
30.71  8  0 1 2
31.97  6  0 2 1

Record 13
Starting from a crystal structure in Alexandria, relaxed with PBE, the XRD peak list of Na2La3Pb3 was calculated for copper Kα.
Kinematic intensities with the Lorentz-polarization factor, no thermal factor.

Structure:
Lattice parameters (Å, degrees): 9.7895 9.7895 6.6562 90.00 90.00 120.00
Space group P6_3/mcm (No. 193)
Inequivalent atoms, fractional coordinates:
Na1 0.3333 0.6667 0.0000 [4 per cell]
La1 0.0000 0.3066 0.2500 [6 per cell]
Pb1 0.0000 0.3558 0.7500 [6 per cell]

Top 10 peaks for 2θ = 10–90°, by intensity:
Position (°2θ)  I (rel.)  index
31.66  100  3 0 0
18.12  77  1 1 0
41.94  76  3 0 2
32.53  56  1 1 2
26.79  48  0 0 2
65.04  26  3 0 4
30.97  22  2 1 1
46.03  19  2 2 2
56.95  17  4 1 2
63.50  17  3 3 2

Record 14
Starting from a crystal structure in Alexandria, relaxed with PBE, the XRD peak list of Nd3Mg11 was calculated for copper Kα.
Kinematic intensities with the Lorentz-polarization factor, no thermal factor.

Structure:
Lattice parameters (Å, degrees): 5.103 10.021 14.491 90.00 90.00 90.00
Space group Immm (No. 71)
Inequivalent atoms, fractional coordinates:
Nd1 0.000 0.000 0.000 [2 per cell]
Nd2 0.000 0.000 0.287 [4 per cell]
Mg1 0.000 0.165 0.500 [4 per cell]
Mg2 0.000 0.287 0.141 [8 per cell]
Mg3 0.000 0.358 0.346 [8 per cell]
Mg4 0.000 0.500 0.000 [2 per cell]

Top 10 peaks for 2θ = 10–90°, by intensity:
Position (°2θ)  I (rel.)  index
31.12  100  1 2 3
19.52  95  1 1 0
31.58  75  1 1 4
32.02  63  1 3 0
17.70  51  0 2 0
30.45  48  0 2 4
35.17  48  2 0 0
25.39  42  1 0 3
60.83  41  1 4 7
20.41  39  0 1 3